Theoretical XRD peak list of LiFePO4 for Cu Kα, 1.54184 Å, from a DFT-relaxed cell (PBE+U, the Materials Project).
Peak positions follow from Bragg's law for the DFT cell and can differ from measured ones.

Structural model:
```
data_LiFePO4
_cell_length_a 5.7707
_cell_length_b 11.1697
_cell_length_c 9.4805
_cell_angle_alpha 90.00
_cell_angle_beta 90.00
_cell_angle_gamma 90.00
_symmetry_space_group_name_H-M 'F d d 2'
_symmetry_Int_Tables_number 43
_symmetry_space_group_name_Hall 'F 2 -2d'
loop_
_atom_site_label
_atom_site_fract_x
_atom_site_fract_y
_atom_site_fract_z
_atom_site_occupancy
Li1 0.0000 0.0000 0.0000 1
Fe1 0.0000 0.0000 0.3782 1
P1 0.0000 0.0000 0.6956 1
O1 0.0855 0.1764 0.0407 1
O2 0.1067 0.3297 0.8406 1
```

Most intense lines, 5 to 70 degrees two-theta, in order of rising 2θ:
| two_theta | d_spacing | intensity | hkl |
| --- | --- | --- | --- |
| 19.69 | 4.510 | 100.0 | 1 1 1 |
| 24.63 | 3.614 | 34.7 | 0 2 2 |
| 30.08 | 2.971 | 49.6 | 1 3 1 |
| 32.05 | 2.792 | 24.6 | 0 4 0 |
| 33.31 | 2.690 | 96.7 | 1 1 3 |
| 35.00 | 2.563 | 49.5 | 2 2 0 |
| 39.98 | 2.255 | 22.3 | 2 2 2 |
| 52.61 | 1.740 | 56.3 | 1 5 3 |
| 56.62 | 1.626 | 17.3 | 3 1 3 |
| 59.05 | 1.564 | 19.2 | 2 6 0 |



Theoretical XRD peak list of LiFe2P2O8 for Cu Kα, 1.54184 Å, from a DFT-relaxed cell (PBE+U, the Materials Project).
Peak positions follow from Bragg's law for the DFT cell and can differ from measured ones.

Structural model:
```
data_LiFe2P2O8
_cell_length_a 6.9139
_cell_length_b 7.7009
_cell_length_c 6.9507
_cell_angle_alpha 90.00
_cell_angle_beta 91.61
_cell_angle_gamma 90.00
_symmetry_space_group_name_H-M 'C 1 2 1'
_symmetry_Int_Tables_number 5
loop_
_symmetry_equiv_pos_as_xyz
'x,y,z'
'-x,y,-z'
'x+1/2,y+1/2,z'
'-x+1/2,y+1/2,-z'
loop_
_atom_site_label
_atom_site_fract_x
_atom_site_fract_y
_atom_site_fract_z
_atom_site_occupancy
Li1 0.0000 0.0000 0.0000 1
Fe1 0.0000 0.0153 0.5000 1
Fe2 0.0000 0.4919 0.0000 1
P1 0.2429 0.7476 0.7527 1
O1 0.0603 0.6345 0.7913 1
O2 0.0727 0.1329 0.2447 1
O3 0.2169 0.8480 0.5655 1
O4 0.2389 0.3765 0.0691 1
```

Most intense lines, 5 to 70 degrees two-theta, in order of rising 2θ:
| two_theta | d_spacing | intensity | hkl |
| --- | --- | --- | --- |
| 21.28 | 4.176 | 100.0 | 1 1 -1 |
| 21.71 | 4.093 | 99.1 | 1 1 1 |
| 34.78 | 2.579 | 45.8 | 0 2 2 |
| 34.89 | 2.572 | 49.0 | 2 2 0 |
| 42.47 | 2.128 | 14.6 | 1 1 -3 |
| 43.35 | 2.087 | 15.9 | 3 1 1 |
| 54.89 | 1.673 | 9.7 | 3 3 -1 |
| 55.32 | 1.661 | 9.9 | 1 3 3 |
| 60.87 | 1.522 | 10.7 | 2 4 -2 |
| 61.59 | 1.506 | 10.6 | 2 4 2 |



Theoretical XRD peak list of LiFePO4 for Cu Kα, 1.54184 Å, from a DFT-relaxed cell (PBE+U, the Materials Project).
Peak positions follow from Bragg's law for the DFT cell and can differ from measured ones.

Structural model:
```
data_LiFePO4
_cell_length_a 7.6552
_cell_length_b 7.6552
_cell_length_c 9.8507
_cell_angle_alpha 90.00
_cell_angle_beta 90.00
_cell_angle_gamma 120.00
_symmetry_space_group_name_H-M 'P 3 1 c'
_symmetry_Int_Tables_number 159
loop_
_symmetry_equiv_pos_as_xyz
'x,y,z'
'-y,x-y,z'
'-x+y,-x,z'
'y,x,z+1/2'
'x-y,-y,z+1/2'
'-x,-x+y,z+1/2'
loop_
_atom_site_label
_atom_site_fract_x
_atom_site_fract_y
_atom_site_fract_z
_atom_site_occupancy
Li1 0.0464 0.5933 0.0000 1
Fe1 0.0553 0.2834 0.7764 1
P1 0.0000 0.0000 0.0119 1
P2 0.3333 0.6667 0.2808 1
P3 0.3333 0.6667 0.6868 1
O1 0.0000 0.0000 0.1746 1
O2 0.0877 0.8682 0.9609 1
O3 0.1227 0.5071 0.3387 1
O4 0.1871 0.7385 0.6344 1
O5 0.3333 0.6667 0.1246 1
O6 0.3333 0.6667 0.8440 1
```

Most intense lines, 5 to 70 degrees two-theta, in order of rising 2θ:
| two_theta | d_spacing | intensity | hkl |
| --- | --- | --- | --- |
| 13.36 | 6.630 | 37.9 | 1 0 0 |
| 18.01 | 4.925 | 89.1 | 0 0 2 |
| 23.24 | 3.828 | 71.8 | 1 1 0 |
| 28.41 | 3.142 | 56.4 | 2 0 1 |
| 29.56 | 3.022 | 100.0 | 2 -1 2 |
| 32.56 | 2.750 | 42.1 | 2 0 2 |
| 37.02 | 2.428 | 24.6 | 2 1 1 |
| 40.39 | 2.233 | 61.4 | 3 -1 2 |
| 43.71 | 2.071 | 24.9 | 2 -1 4 |
| 50.49 | 1.807 | 29.8 | 3 1 1 |



Theoretical XRD peak list of Li2FeP4O12 for Cu Kα, 1.54184 Å, from a DFT-relaxed cell (PBE+U, the Materials Project).
Peak positions follow from Bragg's law for the DFT cell and can differ from measured ones.

Structural model:
```
data_Li2FeP4O12
_cell_length_a 7.5865
_cell_length_b 9.4482
_cell_length_c 8.6514
_cell_angle_alpha 90.00
_cell_angle_beta 122.54
_cell_angle_gamma 90.00
_symmetry_space_group_name_H-M 'P 1 21/c 1'
_symmetry_Int_Tables_number 14
loop_
_symmetry_equiv_pos_as_xyz
'x,y,z'
'-x,-y,-z'
'-x,y+1/2,-z+1/2'
'x,-y+1/2,z+1/2'
loop_
_atom_site_label
_atom_site_fract_x
_atom_site_fract_y
_atom_site_fract_z
_atom_site_occupancy
Li1 0.2285 0.1597 0.3543 1
Fe1 0.0000 0.0000 0.5000 1
P1 0.2120 0.7172 0.3822 1
P2 0.4537 0.5942 0.7677 1
O1 0.0615 0.6124 0.2418 1
O2 0.1104 0.6673 0.9248 1
O3 0.3121 0.1125 0.6123 1
O4 0.3560 0.0420 0.2681 1
O5 0.3589 0.7273 0.8161 1
O6 0.3877 0.6343 0.5618 1
```

Most intense lines, 5 to 70 degrees two-theta, in order of rising 2θ:
| two_theta | d_spacing | intensity | hkl |
| --- | --- | --- | --- |
| 15.35 | 5.773 | 67.9 | 0 1 1 |
| 16.74 | 5.296 | 100.0 | 1 1 0 |
| 22.67 | 3.923 | 86.9 | 1 2 -1 |
| 24.79 | 3.592 | 29.8 | 1 1 1 |
| 25.45 | 3.499 | 51.2 | 2 1 -1 |
| 26.19 | 3.402 | 34.6 | 0 1 2 |
| 27.98 | 3.189 | 60.7 | 1 2 -2 |
| 32.99 | 2.715 | 25.4 | 1 1 -3 |
| 33.85 | 2.648 | 23.2 | 2 2 0 |
| 34.23 | 2.619 | 23.1 | 1 0 2 |



Q: What is the formula in the second record?
A: LiFe2P2O8



Please write out number 1 again, unchanged.
Theoretical XRD peak list of LiFePO4 for Cu Kα, 1.54184 Å, from a DFT-relaxed cell (PBE+U, the Materials Project).
Peak positions follow from Bragg's law for the DFT cell and can differ from measured ones.

Structural model:
```
data_LiFePO4
_cell_length_a 5.7707
_cell_length_b 11.1697
_cell_length_c 9.4805
_cell_angle_alpha 90.00
_cell_angle_beta 90.00
_cell_angle_gamma 90.00
_symmetry_space_group_name_H-M 'F d d 2'
_symmetry_Int_Tables_number 43
_symmetry_space_group_name_Hall 'F 2 -2d'
loop_
_atom_site_label
_atom_site_fract_x
_atom_site_fract_y
_atom_site_fract_z
_atom_site_occupancy
Li1 0.0000 0.0000 0.0000 1
Fe1 0.0000 0.0000 0.3782 1
P1 0.0000 0.0000 0.6956 1
O1 0.0855 0.1764 0.0407 1
O2 0.1067 0.3297 0.8406 1
```

Most intense lines, 5 to 70 degrees two-theta, in order of rising 2θ:
| two_theta | d_spacing | intensity | hkl |
| --- | --- | --- | --- |
| 19.69 | 4.510 | 100.0 | 1 1 1 |
| 24.63 | 3.614 | 34.7 | 0 2 2 |
| 30.08 | 2.971 | 49.6 | 1 3 1 |
| 32.05 | 2.792 | 24.6 | 0 4 0 |
| 33.31 | 2.690 | 96.7 | 1 1 3 |
| 35.00 | 2.563 | 49.5 | 2 2 0 |
| 39.98 | 2.255 | 22.3 | 2 2 2 |
| 52.61 | 1.740 | 56.3 | 1 5 3 |
| 56.62 | 1.626 | 17.3 | 3 1 3 |
| 59.05 | 1.564 | 19.2 | 2 6 0 |